Simulated XRD peak list of Na2VAgF8 for Cu Kα (weighted mean of Kα1 and Kα2), from a cell relaxed with GGA+U.
Neutral-atom scattering factors, no anomalous dispersion.

Principal peaks in the range 2θ from 10° to 80°, most intense first:
- 2.874 Å, 31.1°, I 100.0, (1 2 0)
- 3.604 Å, 24.7°, I 93.4, (1 0 -1)
- 2.515 Å, 35.7°, I 69.0, (1 2 -1)
- 3.470 Å, 25.7°, I 69.0, (1 0 1)
- 5.024 Å, 17.7°, I 64.3, (0 0 1)
- 4.976 Å, 17.8°, I 62.3, (1 0 0)
- 1.903 Å, 47.8°, I 32.6, (2 2 -1)
- 1.911 Å, 47.6°, I 32.1, (1 2 -2)
- 3.513 Å, 25.4°, I 25.6, (0 2 0)
- 1.863 Å, 48.9°, I 23.7, (2 2 1)

Structure:
abc: 4.9799 7.0259 5.0272
angles: 90.00 92.17 90.00
Space group P2/m (No. 10)
Asymmetric unit:
Na (0.0000, 0.2490, 0.0000) [2 per cell]
V (0.5000, 0.5000, 0.5000) [1 per cell]
Ag (0.5000, 0.0000, 0.5000) [1 per cell]
F (0.2074, 0.0000, 0.2039) [2 per cell]
F (0.2357, 0.5000, 0.2331) [2 per cell]
F (0.3185, 0.3031, 0.6768) [4 per cell]